The following is a computed powder X-ray diffraction pattern of PmPr3Sm2Tm6. It was derived from a PBE-relaxed structure, using Cu Kα X-rays.
Neutral-atom scattering factors, no anomalous dispersion.

The 12 most intense peaks (2θ = 5–70°), low angle first:
hkl 0 0 2, 15.4 deg, rel. 1
hkl 2 0 0, 29.2 deg, rel. 1
hkl 1 3 1, 30.5 deg, rel. 100
hkl 0 0 4, 31.0 deg, rel. 32
hkl 2 0 2, 35.5 deg, rel. 67
hkl 0 6 0, 50.8 deg, rel. 24
hkl 1 3 5, 51.4 deg, rel. 23
hkl 4 0 0, 60.5 deg, rel. 14
hkl 3 3 3, 60.7 deg, rel. 28
hkl 2 0 6, 61.3 deg, rel. 14
hkl 2 6 2, 63.6 deg, rel. 12
hkl 0 0 8, 64.6 deg, rel. 4

Cell and atoms:
```
data_PmPr3Sm2Tm6
_chemical_formula_sum 'Pm2 Pr6 Sm4 Tm12'
_space_group_name_H-M_alt 'C 1 2/m 1'
_space_group_IT_number 12
_space_group_name_Hall '-C 2y'
_cell_length_a 6.2235
_cell_length_b 10.7762
_cell_length_c 11.7286
_cell_angle_alpha 90.00
_cell_angle_beta 100.16
_cell_angle_gamma 90.00
loop_
_atom_site_label
_atom_site_type_symbol
_atom_site_fract_x
_atom_site_fract_y
_atom_site_fract_z
Pm1 Pm 0.0000 0.0000 0.0000
Pr1 Pr 0.0000 0.1667 0.5000
Pr2 Pr 0.0000 0.5000 0.5000
Sm1 Sm 0.0000 0.3334 0.0000
Tm1 Tm 0.2494 0.1667 0.2481
Tm2 Tm 0.2493 0.5000 0.2481
```

=====

The following is a computed powder X-ray diffraction pattern of Pm2Pr4SmY2. It was derived from a PBE-relaxed structure, using Cu Kα X-rays.
Neutral-atom scattering factors, no anomalous dispersion.

The 11 most intense peaks (2θ = 5–70°), low angle first:
hkl 0 0 1, 11.4 deg, rel. 1
hkl 2 0 0, 12.0 deg, rel. 1
hkl 3 1 0, 25.0 deg, rel. 1
hkl 3 1 1, 29.9 deg, rel. 100
hkl 0 2 0, 34.6 deg, rel. 34
hkl 0 0 3, 34.8 deg, rel. 17
hkl 6 2 -1, 49.7 deg, rel. 12
hkl 6 0 2, 49.9 deg, rel. 24
hkl 9 1 0, 59.1 deg, rel. 29
hkl 3 1 4, 59.3 deg, rel. 14
hkl 6 2 2, 62.1 deg, rel. 12

Cell and atoms:
```
data_Pm2Pr4SmY2
_chemical_formula_sum 'Pm4 Pr8 Sm2 Y4'
_space_group_name_H-M_alt 'C 1 2/m 1'
_space_group_IT_number 12
_space_group_name_Hall '-C 2y'
_cell_length_a 15.5550
_cell_length_b 5.1836
_cell_length_c 8.1643
_cell_angle_alpha 90.00
_cell_angle_beta 108.53
_cell_angle_gamma 90.00
loop_
_atom_site_label
_atom_site_type_symbol
_atom_site_fract_x
_atom_site_fract_y
_atom_site_fract_z
Pm1 Pm 0.1112 0.0000 0.1681
Pr1 Pr 0.0547 0.5000 0.8318
Pr2 Pr 0.2223 0.0000 0.8317
Sm1 Sm 0.0000 0.0000 0.5000
Y1 Y 0.1672 0.5000 0.4993
```